# K2Si4Au5
Theoretical powder diffractogram, a wavelength of 1.5418 Å. Input: a crystal structure in Alexandria, relaxed with GGA-PBE.
Neutral-atom scattering factors, no anomalous dispersion.

Lattice parameters (Å, degrees): 6.8735 11.6672 13.2622 90.00 90.00 90.00
Space group Fmmm (No. 69)
Symmetry-distinct sites (fractional):
1 K 0.0000 0.1542 0.0000
2 Si 0.0000 0.1174 0.3420
3 Au 0.0000 0.0000 0.5000
4 Au 0.2500 0.0000 0.2500
5 Au 0.2500 0.2500 0.2500

Main lines, most intense first (2θ from 10° to 80°):
29.27 deg, intensity 100.0, hkl 2 0 2; 13.35 deg, intensity 89.3, hkl 0 0 2; 42.89 deg, intensity 65.7, hkl 2 4 2; 26.89 deg, intensity 57.9, hkl 0 0 4; 41.22 deg, intensity 39.0, hkl 0 4 4; 49.00 deg, intensity 32.2, hkl 2 0 6; 16.39 deg, intensity 29.5, hkl 1 1 1; 30.65 deg, intensity 28.0, hkl 0 4 0

***

# K2FeCl4
Theoretical powder diffractogram, a wavelength of 1.5418 Å. Input: a crystal structure in Alexandria, relaxed with GGA-PBE.
Neutral-atom scattering factors, no anomalous dispersion.

Lattice parameters (Å, degrees): 7.1596 7.2268 8.7596 90.00 108.33 90.00
Space group P2_1/m (No. 11)
Symmetry-distinct sites (fractional):
1 K 0.2084 0.2500 0.0492
2 K 0.2710 0.2500 0.5685
3 Fe 0.2351 0.7500 0.8002
4 Cl 0.0177 0.5048 0.7418
5 Cl 0.4090 0.7500 0.0688
6 Cl 0.4289 0.7500 0.6361

Main lines, most intense first (2θ from 10° to 80°):
27.95 deg, intensity 100.0, hkl 1 2 0; 30.85 deg, intensity 88.1, hkl 2 1 -2; 31.10 deg, intensity 86.3, hkl 1 1 2; 16.25 deg, intensity 79.3, hkl 0 1 1; 24.63 deg, intensity 73.7, hkl 0 2 0; 32.80 deg, intensity 64.5, hkl 1 2 -2; 36.29 deg, intensity 61.6, hkl 2 2 0; 41.22 deg, intensity 60.4, hkl 1 0 -4

***

# K2GaAsOs
Theoretical powder diffractogram, a wavelength of 1.5418 Å. Input: a crystal structure in Alexandria, relaxed with GGA-PBE.
Neutral-atom scattering factors, no anomalous dispersion.

Lattice parameters (Å, degrees): 6.4306 6.4306 4.8693 90.00 90.00 90.00
Space group P4/mmm (No. 123)
Symmetry-distinct sites (fractional):
1 K 0.0000 0.5000 0.0000
2 Ga 0.0000 0.0000 0.5000
3 As 0.0000 0.0000 0.0000
4 Os 0.5000 0.5000 0.5000

Main lines, most intense first (2θ from 10° to 80°):
27.75 deg, intensity 100.0, hkl 2 0 0; 26.83 deg, intensity 86.5, hkl 1 1 1; 19.52 deg, intensity 83.8, hkl 1 1 0; 22.91 deg, intensity 65.1, hkl 1 0 1; 46.80 deg, intensity 46.5, hkl 2 0 2; 36.28 deg, intensity 40.2, hkl 2 1 1; 39.64 deg, intensity 38.4, hkl 2 2 0; 48.51 deg, intensity 33.0, hkl 3 1 1